Structure and computed powder XRD pattern of TbDyEr2Tl2 (a DFT-relaxed cell (PBE, Alexandria); a wavelength of 1.5418 Å).
No peak broadening, texture or thermal motion is included.

Cell and atoms:
```
12
Lattice="5.0790 0.0000 0.0000 0.0000 9.9464 0.0000 0.0000 0.0000 6.7862" Properties=species:S:1:pos:R:3 pbc="T T T"
Tb 0.0000 0.4082 0.0000
Tb 0.0000 9.5382 3.3931
Dy 2.5395 1.8775 4.8846
Dy 2.5395 8.0689 1.4915
Er 0.0000 3.1255 2.5303
Er 0.0000 6.8209 5.9234
Er 2.5395 4.5625 0.6151
Er 2.5395 5.3839 4.0082
Tl 0.0000 3.6601 5.6776
Tl 0.0000 6.2864 2.2844
Tl 2.5395 1.3555 1.7242
Tl 2.5395 8.5909 5.1173
```

Largest 10 diffraction maxima, in order of rising 2θ, 10 to 90 degrees two-theta:
Position (°2θ)  I (rel.)
30.00  18
31.71  58
31.93  23
32.24  100
33.00  82
34.92  34
35.34  58
37.94  25
52.82  19
61.50  16



Structure and computed powder XRD pattern of Ca3DyPd4 (a DFT-relaxed cell (PBE, Alexandria); a wavelength of 1.5418 Å).
No peak broadening, texture or thermal motion is included.

Cell and atoms:
```
8
Lattice="3.5226 0.0000 0.0000 0.0000 3.5226 0.0000 0.0000 0.0000 14.1802" Properties=species:S:1:pos:R:3 pbc="T T T"
Ca 0.0000 0.0000 0.0000
Ca 0.0000 0.0000 3.5233
Ca 0.0000 0.0000 10.6569
Dy 0.0000 0.0000 7.0901
Pd 1.7613 1.7613 1.7744
Pd 1.7613 1.7613 5.4680
Pd 1.7613 1.7613 8.7121
Pd 1.7613 1.7613 12.4057
```

Largest 10 diffraction maxima, in order of rising 2θ, 10 to 90 degrees two-theta:
Position (°2θ)  I (rel.)
12.48  13
35.94  100
36.06  51
51.56  8
51.91  17
64.53  16
64.76  34
76.20  10
86.96  6
87.55  15



Structure and computed powder XRD pattern of La2B3C4 (a DFT-relaxed cell (PBE, Alexandria); a wavelength of 1.5418 Å).
No peak broadening, texture or thermal motion is included.

Cell and atoms:
```
18
Lattice="2.4005 -6.2332 0.0000 2.4005 6.2332 0.0000 0.0000 0.0000 7.5167" Properties=species:S:1:pos:R:3 pbc="T T T"
La 2.4005 4.6963 6.8890
La 2.4005 1.5370 3.1306
La 2.4005 -1.5370 4.3861
La 2.4005 -4.6963 0.6278
B 0.0000 0.0000 3.7584
B 1.2002 2.2502 5.6376
B 1.2002 -2.2502 1.8792
B 2.4005 0.0000 0.0000
B 3.6007 2.2502 5.6376
B 3.6007 -2.2502 1.8792
C 1.2002 0.6106 5.6376
C 2.4005 3.1969 1.3213
C 2.4005 3.0364 5.0797
C 1.2002 -0.6106 1.8792
C 3.6007 0.6106 5.6376
C 2.4005 -3.0364 2.4371
C 2.4005 -3.1969 6.1954
C 3.6007 -0.6106 1.8792
```

Largest 10 diffraction maxima, in order of rising 2θ, 10 to 90 degrees two-theta:
Position (°2θ)  I (rel.)
18.49  36
23.11  100
28.64  32
30.84  55
31.06  40
37.30  40
37.47  31
38.73  45
42.59  26
54.98  24



Structure and computed powder XRD pattern of B7IrPt12 (a DFT-relaxed cell (PBE, Alexandria); a wavelength of 1.5418 Å).
No peak broadening, texture or thermal motion is included.

Cell and atoms:
```
20
Lattice="5.7543 3.3223 2.3521 -5.7543 3.3223 2.3521 0.0000 -6.6445 2.3521" Properties=species:S:1:pos:R:3 pbc="T T T"
B 0.0000 0.0000 0.0000
B -1.8943 -0.3763 2.0812
B 1.2730 -1.4524 2.0812
B 0.6213 1.8287 2.0812
B -0.6213 -1.8287 4.9750
B -1.2731 1.4524 4.9750
B 1.8943 0.3763 4.9750
Ir 0.0000 0.0000 3.5281
Pt -0.5615 -1.8245 1.0545
Pt -1.2993 1.3986 1.0545
Pt -2.3307 -1.7965 3.6262
Pt -2.7212 1.1202 3.4301
Pt 1.8609 0.4260 1.0545
Pt 0.3905 -2.9167 3.4301
Pt -0.3905 2.9167 3.6262
Pt -1.8609 -0.4259 6.0017
Pt 2.7212 -1.1201 3.6262
Pt 2.3307 1.7965 3.4301
Pt 1.2993 -1.3986 6.0017
Pt 0.5615 1.8245 6.0017
```

Largest 10 diffraction maxima, in order of rising 2θ, 10 to 90 degrees two-theta:
Position (°2θ)  I (rel.)
26.83  19
34.86  100
38.27  34
41.50  79
47.37  17
57.77  22
62.47  22
67.03  14
71.43  22
75.70  17



Structure and computed powder XRD pattern of Ac2SmTeO8 (a DFT-relaxed cell (PBE, Alexandria); a wavelength of 1.5418 Å).
No peak broadening, texture or thermal motion is included.

Cell and atoms:
```
12
Lattice="4.5017 0.0000 0.0000 0.0000 7.3833 0.0000 -0.4524 0.0000 5.6516" Properties=species:S:1:pos:R:3 pbc="T T T"
Ac 0.0000 1.8043 0.0000
Ac 0.0000 5.5790 0.0000
Sm 2.0247 3.6916 2.8258
Te 2.0247 0.0000 2.8258
O 0.2049 3.6916 1.4269
O 0.3062 0.0000 1.9147
O 1.6273 1.4835 4.0949
O 1.6273 5.8998 4.0949
O 2.4221 1.4835 1.5567
O 2.4221 5.8998 1.5567
O 3.7432 0.0000 3.7369
O 3.8444 3.6916 4.2247
```

Largest 10 diffraction maxima, in order of rising 2θ, 10 to 90 degrees two-theta:
Position (°2θ)  I (rel.)
24.32  75
26.33  60
28.89  100
31.38  56
31.66  27
40.19  27
43.96  42
46.37  32
49.13  22
51.36  21



Structure and computed powder XRD pattern of Ba5Ru2ClO9 (a DFT-relaxed cell (PBE, Alexandria); a wavelength of 1.5418 Å).
No peak broadening, texture or thermal motion is included.

Cell and atoms:
```
34
Lattice="3.0490 -5.4840 0.0000 3.0490 5.4840 0.0000 0.0000 0.0000 18.1568" Properties=species:S:1:pos:R:3 pbc="T T T"
Ba 3.0490 5.3869 9.0784
Ba 3.0490 5.3726 14.5885
Ba 3.0490 1.9573 7.2944
Ba 3.0490 1.9549 11.4240
Ba 3.0490 1.6049 3.1470
Ba 3.0490 -1.6049 12.2254
Ba 3.0490 -1.9549 2.3456
Ba 3.0490 -1.9573 16.3728
Ba 3.0490 -5.3726 5.5101
Ba 3.0490 -5.3869 0.0000
Ru 3.0490 1.9790 15.0008
Ru 3.0490 1.6722 17.7406
Ru 3.0490 -1.6722 8.6622
Ru 3.0490 -1.9790 5.9224
Cl 3.0490 4.7566 2.7565
Cl 3.0490 -4.7566 11.8349
O 1.6796 2.9905 14.0082
O 1.6040 2.2799 0.7412
O 1.6522 1.0658 16.2982
O 3.0490 3.4378 16.5295
O 1.6522 -1.0658 7.2198
O 4.4185 2.9905 14.0082
O 3.0490 0.4536 13.8130
O 1.6040 -2.2799 9.8196
O 3.0490 0.1051 9.5467
O 3.0490 -0.1051 0.4682
O 4.4940 2.2799 0.7412
O 3.0490 -0.4536 4.7346
O 1.6796 -2.9905 4.9298
O 4.4458 1.0658 16.2982
O 3.0490 -3.4378 7.4511
O 4.4458 -1.0658 7.2198
O 4.4940 -2.2799 9.8196
O 4.4185 -2.9905 4.9298
```

Largest 10 diffraction maxima, in order of rising 2θ, 10 to 90 degrees two-theta:
Position (°2θ)  I (rel.)
25.47  19
25.78  30
28.47  100
29.29  52
29.51  30
29.77  39
39.20  25
41.47  25
42.06  33
51.42  27



Structure and computed powder XRD pattern of Zn5Cd2Pd2Au (a DFT-relaxed cell (PBE, Alexandria); a wavelength of 1.5418 Å).
No peak broadening, texture or thermal motion is included.

Cell and atoms:
```
20
Lattice="9.3085 0.0000 0.0000 0.0000 9.3085 0.0000 0.0000 0.0000 3.9548" Properties=species:S:1:pos:R:3 pbc="T T T"
Zn 0.0000 4.6542 0.0000
Zn 0.6925 1.8407 0.0000
Zn 1.8407 8.6160 0.0000
Zn 2.8135 3.9618 0.0000
Zn 3.9618 6.4949 0.0000
Zn 4.6542 0.0000 0.0000
Zn 5.3467 2.8135 0.0000
Zn 6.4949 5.3467 0.0000
Zn 7.4678 0.6925 0.0000
Zn 8.6160 7.4678 0.0000
Cd 1.6062 6.2604 1.9774
Cd 3.0481 1.6062 1.9774
Cd 6.2604 7.7023 1.9774
Cd 7.7023 3.0481 1.9774
Pd 1.1422 3.5121 1.9774
Pd 3.5121 8.1663 1.9774
Pd 5.7964 1.1422 1.9774
Pd 8.1663 5.7964 1.9774
Au 0.0000 0.0000 1.9774
Au 4.6542 4.6542 1.9774
```

Largest 10 diffraction maxima, in order of rising 2θ, 10 to 90 degrees two-theta:
Position (°2θ)  I (rel.)
22.48  12
30.37  16
35.49  20
38.11  100
39.93  20
41.78  25
43.48  14
45.89  22
62.43  10
79.70  11



Structure and computed powder XRD pattern of La2DyY4Er2 (a DFT-relaxed cell (PBE, Alexandria); a wavelength of 1.5418 Å).
No peak broadening, texture or thermal motion is included.

Cell and atoms:
```
9
Lattice="9.3920 -1.8134 0.0000 9.3920 1.8134 0.0000 -4.1750 0.0000 8.6622" Properties=species:S:1:pos:R:3 pbc="T T T"
La 1.0333 0.0000 4.2981
La 13.5757 0.0000 4.3641
Dy 7.3045 0.0000 4.3311
Y -3.1191 0.0000 7.2537
Y 5.2133 0.0000 1.4165
Y 9.3956 0.0000 7.2458
Y 17.7281 0.0000 1.4085
Er 3.1269 0.0000 7.2561
Er 11.4820 0.0000 1.4061
```

Largest 10 diffraction maxima, in order of rising 2θ, 10 to 90 degrees two-theta:
Position (°2θ)  I (rel.)
28.67  45
30.97  50
31.68  100
33.37  93
39.96  15
45.32  15
50.45  25
54.43  20
57.71  20
60.38  29



Structure and computed powder XRD pattern of Pm2SnI (a DFT-relaxed cell (PBE, Alexandria); a wavelength of 1.5418 Å).
No peak broadening, texture or thermal motion is included.

Cell and atoms:
```
8
Lattice="6.3343 0.0000 0.0000 0.0000 4.5849 0.0000 -0.0470 0.0000 9.1372" Properties=species:S:1:pos:R:3 pbc="T T T"
Pm 1.5470 1.1462 1.4391
Pm 1.5580 1.1462 5.5477
Pm 4.7293 3.4387 3.5895
Pm 4.7403 3.4387 7.6981
Sn 1.5614 3.4387 3.4297
Sn 4.7258 1.1462 5.7075
I 1.5709 3.4387 8.0499
I 4.7164 1.1462 1.0873
```

Largest 10 diffraction maxima, in order of rising 2θ, 10 to 90 degrees two-theta:
Position (°2θ)  I (rel.)
27.56  100
28.18  50
39.30  21
39.45  16
39.75  37
39.90  38
49.05  30
56.90  11
64.27  9
71.65  11



Structure and computed powder XRD pattern of Al2InCuSe4 (a DFT-relaxed cell (PBE, Alexandria); a wavelength of 1.5418 Å).
No peak broadening, texture or thermal motion is included.

Cell and atoms:
```
8
Lattice="-2.8419 2.8419 6.5723 2.8419 -2.8419 6.5723 2.8419 2.8419 -6.5723" Properties=species:S:1:pos:R:3 pbc="T T T"
Al 2.8419 0.0000 3.2861
Al 0.0000 2.8419 3.2861
In 0.0000 0.0000 0.0000
Cu 0.0000 0.0000 6.5723
Se 1.2263 -1.2263 4.6793
Se 1.6157 1.6157 1.8929
Se -1.2263 1.2263 4.6793
Se 1.2263 1.2263 8.4652
```

Largest 10 diffraction maxima, in order of rising 2θ, 10 to 90 degrees two-theta:
Position (°2θ)  I (rel.)
22.12  11
25.99  100
34.38  13
35.28  10
35.99  10
42.03  46
45.12  19
47.26  16
52.80  23
81.14  9



Structure and computed powder XRD pattern of Zr3Tl4PdS8 (a DFT-relaxed cell (PBE, Alexandria); a wavelength of 1.5418 Å).
No peak broadening, texture or thermal motion is included.

Cell and atoms:
```
16
Lattice="6.4257 -3.7189 0.0000 6.4257 3.7189 0.0000 -4.3199 0.0000 7.8797" Properties=species:S:1:pos:R:3 pbc="T T T"
Zr 0.0000 0.0000 0.0000
Zr 3.2128 1.8595 0.0000
Zr 3.2128 -1.8595 0.0000
Tl -2.1599 0.0000 3.9398
Tl 1.0529 1.8595 3.9398
Tl 1.0529 -1.8595 3.9398
Tl 4.2657 0.0000 3.9398
Pd 6.4257 0.0000 0.0000
S 5.3469 1.8716 1.4618
S 2.1414 0.0000 1.4847
S 3.1846 1.8716 6.4179
S -0.0117 0.0000 6.4400
S 8.5431 0.0000 1.4396
S 5.3469 -1.8716 1.4618
S 6.3900 0.0000 6.3950
S 3.1846 -1.8716 6.4179
```

Largest 10 diffraction maxima, in order of rising 2θ, 10 to 90 degrees two-theta:
Position (°2θ)  I (rel.)
22.57  57
28.76  81
31.62  100
31.76  49
33.70  21
41.42  20
41.53  40
49.05  45
54.57  22
59.57  24



Structure and computed powder XRD pattern of CeY6Tm2 (a DFT-relaxed cell (PBE, Alexandria); a wavelength of 1.5418 Å).
No peak broadening, texture or thermal motion is included.

Cell and atoms:
```
18
Lattice="4.2486 -4.5152 0.0000 4.2486 4.5152 0.0000 -0.7020 0.0000 15.3212" Properties=species:S:1:pos:R:3 pbc="T T T"
Ce 3.7221 2.4564 11.4909
Ce 4.0731 -2.4564 3.8303
Y 1.3050 0.6368 13.4841
Y 3.4894 2.4976 8.0113
Y 2.5613 0.4863 1.8039
Y 3.9547 2.4976 14.9704
Y 1.6560 -0.6368 5.8236
Y 2.2103 -0.4863 9.4645
Y 5.5849 0.4863 5.8567
Y 6.1392 0.6368 9.4976
Y 3.8404 -2.4976 0.3507
Y 5.2339 -0.4863 13.5172
Y 4.3057 -2.4976 7.3099
Y 6.4902 -0.6368 1.8370
Tm 2.8687 2.2920 4.8129
Tm 5.2774 2.2920 2.8477
Tm 2.5177 -2.2920 12.4734
Tm 4.9264 -2.2920 10.5083
```

Largest 10 diffraction maxima, in order of rising 2θ, 10 to 90 degrees two-theta:
Position (°2θ)  I (rel.)
11.55  12
19.66  21
22.87  11
28.87  22
30.61  26
30.81  16
31.99  13
32.18  100
33.45  43
36.46  14